1.
This entry pairs a crystal structure of Ba6P2NO with its calculated X-ray diffraction stick pattern. Radiation: λ = 1.5418 Å (Cu Kα). Structure: DFT lattice parameters and positions (PBE).

Atomic structure:
Cell lengths 7.609, 7.609, 7.544 Å; angles 119.56, 119.56, 60.34 degrees
Positions (direct):
Ba 0.196 0.697 0.698
Ba 0.247 0.247 0.150
Ba 0.303 0.804 0.302
Ba 0.697 0.196 0.698
Ba 0.753 0.753 0.850
Ba 0.804 0.303 0.302
P 0.249 0.249 0.728
P 0.751 0.751 0.272
N 0.000 0.000 0.000
O 0.500 0.500 0.500

Largest 10 diffraction maxima, in order of rising 2θ, 10 to 80 degrees two-theta:
2θ 16.5, rel. 30.2
2θ 27.4, rel. 85.0
2θ 27.5, rel. 37.2
2θ 27.6, rel. 30.5
2θ 28.6, rel. 100.0
2θ 28.9, rel. 55.1
2θ 33.4, rel. 66.8
2θ 50.0, rel. 40.4
2θ 50.2, rel. 21.2
2θ 55.8, rel. 21.0

=====

2.
This entry pairs a crystal structure of BaSr2Lu with its calculated X-ray diffraction stick pattern. Radiation: λ = 1.5418 Å (Cu Kα). Structure: DFT lattice parameters and positions (PBE).

Atomic structure:
Cell lengths 4.283, 4.283, 10.430 Å; angles 90.00, 90.00, 90.00 degrees
Positions (direct):
Ba 0.000 0.000 0.000
Sr 0.500 0.500 0.292
Sr 0.500 0.500 0.708
Lu 0.000 0.000 0.500

Largest 10 diffraction maxima, in order of rising 2θ, 10 to 80 degrees two-theta:
2θ 17.0, rel. 8.1
2θ 26.9, rel. 100.0
2θ 29.5, rel. 44.0
2θ 33.2, rel. 7.8
2θ 34.4, rel. 9.7
2θ 40.5, rel. 7.6
2θ 42.2, rel. 16.5
2θ 45.9, rel. 17.1
2θ 50.8, rel. 34.7
2θ 55.5, rel. 9.8

=====

3.
This entry pairs a crystal structure of BaAs2Pt6 with its calculated X-ray diffraction stick pattern. Radiation: λ = 1.5418 Å (Cu Kα). Structure: DFT lattice parameters and positions (PBE).

Atomic structure:
Cell lengths 4.082, 4.082, 10.460 Å; angles 90.00, 90.00, 90.00 degrees
Positions (direct):
Ba 0.000 0.000 0.000
As 0.500 0.500 0.173
As 0.500 0.500 0.827
Pt 0.000 0.000 0.500
Pt 0.000 0.500 0.308
Pt 0.000 0.500 0.692
Pt 0.500 0.000 0.308
Pt 0.500 0.000 0.692
Pt 0.500 0.500 0.500

Largest 10 diffraction maxima, in order of rising 2θ, 10 to 80 degrees two-theta:
2θ 35.5, rel. 100.0
2θ 40.6, rel. 83.6
2θ 43.2, rel. 11.7
2θ 44.4, rel. 56.3
2θ 45.3, rel. 10.8
2θ 63.7, rel. 15.1
2θ 64.6, rel. 18.6
2θ 71.1, rel. 22.6
2θ 75.9, rel. 22.8
2θ 79.1, rel. 24.4

=====

4.
This entry pairs a crystal structure of TbNd6Tl2 with its calculated X-ray diffraction stick pattern. Radiation: λ = 1.5418 Å (Cu Kα). Structure: DFT lattice parameters and positions (PBE).

Atomic structure:
Cell lengths 6.875, 6.875, 12.228 Å; angles 107.35, 107.35, 32.46 degrees
Positions (direct):
Tb 0.000 0.000 0.000
Nd 0.015 0.015 0.343
Nd 0.306 0.306 0.409
Nd 0.316 0.316 0.124
Nd 0.684 0.684 0.876
Nd 0.694 0.694 0.591
Nd 0.985 0.985 0.657
Tl 0.364 0.364 0.802
Tl 0.636 0.636 0.198

Largest 10 diffraction maxima, in order of rising 2θ, 10 to 80 degrees two-theta:
2θ 29.9, rel. 10.4
2θ 30.6, rel. 93.9
2θ 31.6, rel. 94.3
2θ 32.0, rel. 100.0
2θ 43.3, rel. 10.7
2θ 44.5, rel. 14.9
2θ 47.3, rel. 18.7
2θ 54.8, rel. 22.0
2θ 55.6, rel. 26.8
2θ 57.4, rel. 32.9

=====

5.
This entry pairs a crystal structure of YbAl3 with its calculated X-ray diffraction stick pattern. Radiation: λ = 1.5418 Å (Cu Kα). Structure: DFT lattice parameters and positions (PBE).

Atomic structure:
Cell lengths 4.236, 4.236, 4.236 Å; angles 90.00, 90.00, 90.00 degrees
Positions (direct):
Yb 0.000 0.000 0.000
Al 0.000 0.500 0.500
Al 0.500 0.000 0.500
Al 0.500 0.500 0.000

Largest 10 diffraction maxima, in order of rising 2θ, 10 to 80 degrees two-theta:
2θ 21.0, rel. 98.8
2θ 29.8, rel. 84.2
2θ 36.7, rel. 100.0
2θ 42.7, rel. 49.2
2θ 48.0, rel. 46.4
2θ 52.9, rel. 34.9
2θ 62.0, rel. 32.6
2θ 66.2, rel. 22.4
2θ 70.3, rel. 15.0
2θ 74.2, rel. 38.4

=====

6.
This entry pairs a crystal structure of KPr6Se8 with its calculated X-ray diffraction stick pattern. Radiation: λ = 1.5418 Å (Cu Kα). Structure: DFT lattice parameters and positions (PBE).

Atomic structure:
Cell lengths 11.524, 11.524, 4.352 Å; angles 90.00, 90.00, 120.00 degrees
Positions (direct):
K 0.000 0.000 0.000
Pr 0.138 0.659 0.749
Pr 0.341 0.479 0.749
Pr 0.479 0.138 0.251
Pr 0.521 0.862 0.749
Pr 0.659 0.521 0.251
Pr 0.862 0.341 0.251
Se 0.046 0.358 0.752
Se 0.313 0.954 0.752
Se 0.333 0.667 0.249
Se 0.358 0.313 0.248
Se 0.642 0.687 0.752
Se 0.667 0.333 0.751
Se 0.687 0.046 0.248
Se 0.954 0.642 0.248

Largest 10 diffraction maxima, in order of rising 2θ, 10 to 80 degrees two-theta:
2θ 22.3, rel. 43.5
2θ 23.6, rel. 39.3
2θ 27.2, rel. 29.2
2θ 31.4, rel. 100.0
2θ 32.3, rel. 39.7
2θ 37.4, rel. 88.2
2θ 41.5, rel. 39.8
2θ 44.7, rel. 31.3
2θ 48.3, rel. 20.4
2θ 69.4, rel. 23.7

=====

7.
This entry pairs a crystal structure of Er5Te2Pt with its calculated X-ray diffraction stick pattern. Radiation: λ = 1.5418 Å (Cu Kα). Structure: DFT lattice parameters and positions (PBE).

Atomic structure:
Cell lengths 8.407, 8.407, 13.405 Å; angles 90.00, 90.00, 143.17 degrees
Positions (direct):
Er 0.098 0.902 0.610
Er 0.098 0.902 0.890
Er 0.260 0.740 0.250
Er 0.313 0.687 0.566
Er 0.313 0.687 0.934
Er 0.687 0.313 0.066
Er 0.687 0.313 0.434
Er 0.740 0.260 0.750
Er 0.902 0.098 0.110
Er 0.902 0.098 0.390
Te 0.092 0.908 0.116
Te 0.092 0.908 0.384
Te 0.908 0.092 0.616
Te 0.908 0.092 0.884
Pt 0.223 0.777 0.750
Pt 0.777 0.223 0.250

Largest 10 diffraction maxima, in order of rising 2θ, 10 to 80 degrees two-theta:
2θ 11.1, rel. 96.1
2θ 17.6, rel. 74.0
2θ 26.7, rel. 45.1
2θ 28.9, rel. 43.3
2θ 30.0, rel. 37.3
2θ 32.1, rel. 42.8
2θ 32.7, rel. 70.2
2θ 33.7, rel. 100.0
2θ 35.0, rel. 48.8
2θ 42.7, rel. 49.0